(1)
# Mn2CuO4
Theoretical powder diffraction line list, a wavelength of 1.5418 Å. Input: the GGA+U geometry in Alexandria.
No peak broadening, texture or thermal motion is included.

Structural model:
Cell lengths 6.0659, 6.0659, 14.6435 Å; angles 90.00, 90.00, 120.00 degrees
Space group R3m (No. 160, hexagonal axes)
Unique sites:
Mn1 0.0000 0.0000 0.0000 x3
Mn2 0.1673 0.3347 0.2137 x9
Cu1 0.0000 0.0000 0.3813 x3
Cu2 0.0000 0.0000 0.7592 x3
O1 0.0000 0.0000 0.1378 x3
O2 0.0000 0.0000 0.6251 x3
O3 0.0291 0.5145 0.1400 x9
O4 0.1832 0.3663 0.9548 x9

Main lines, sorted by position (15 to 90 degrees two-theta):
Position (°2θ)  d [Å]  Rel. int.
17.9  4.945  15
29.5  3.033  36
29.7  3.003  23
34.7  2.585  39
34.8  2.576  100
35.1  2.558  50
36.3  2.472  14
42.4  2.134  35
55.8  1.648  24
56.0  1.643  32
61.1  1.516  43
61.8  1.502  40



(2)
# ReMoO5
Theoretical powder diffraction line list, a wavelength of 1.5418 Å. Input: the GGA+U geometry in Alexandria.
No peak broadening, texture or thermal motion is included.

Structural model:
Cell lengths 3.6595, 6.4324, 7.6897 Å; angles 90.00, 90.00, 90.00 degrees
Space group Immm (No. 71)
Unique sites:
Re1 0.0000 0.0000 0.0000 x2
Mo1 0.0000 0.0000 0.5000 x2
O1 0.0000 0.0000 0.2429 x4
O2 0.0000 0.3104 0.0000 x4
O3 0.0000 0.5000 0.5000 x2

Main lines, sorted by position (15 to 90 degrees two-theta):
Position (°2θ)  d [Å]  Rel. int.
18.0  4.934  28
23.1  3.845  89
27.7  3.216  60
28.1  3.181  100
36.4  2.467  36
36.7  2.451  58
47.3  1.922  18
49.3  1.850  27
55.1  1.667  26
55.7  1.651  32
55.9  1.645  31
70.7  1.333  17



Number 2 is which compound?
ReMoO5